[1]
This entry pairs a crystal structure of TlTcBr with its calculated X-ray powder pattern. Radiation: Cu Kα X-rays. Structure: a cell relaxed with GGA-PBE.

Peak list (10 most intense, 10 to 90 degrees two-theta, in order of rising 2θ)
12.11 deg, intensity 218
24.35 deg, intensity 215
33.64 deg, intensity 1000
36.89 deg, intensity 108
40.03 deg, intensity 484
49.12 deg, intensity 224
55.65 deg, intensity 216
60.08 deg, intensity 121
66.63 deg, intensity 139
68.65 deg, intensity 106

Cell and atoms:
a = 3.303 Å, b = 3.303 Å, c = 7.310 Å
α = 90.00°, β = 90.00°, γ = 120.00°
Fractional coordinates of all 3 atoms:
1 Tl 0.000 0.000 0.000
2 Tc 0.333 0.667 0.674
3 Br 0.667 0.333 0.454

---

[2]
This entry pairs a crystal structure of Tl2TcBr with its calculated X-ray powder pattern. Radiation: Cu Kα X-rays. Structure: a cell relaxed with GGA-PBE.

Peak list (10 most intense, 10 to 90 degrees two-theta, in order of rising 2θ)
10.89 deg, intensity 410
21.88 deg, intensity 528
25.50 deg, intensity 722
31.94 deg, intensity 482
32.73 deg, intensity 1000
33.08 deg, intensity 260
39.72 deg, intensity 453
40.67 deg, intensity 248
47.23 deg, intensity 390
54.20 deg, intensity 193

Cell and atoms:
a = 3.864 Å, b = 3.875 Å, c = 8.124 Å
α = 90.00°, β = 90.00°, γ = 90.00°
Fractional coordinates of all 4 atoms:
1 Tl 0.000 0.000 0.000
2 Tl 0.500 0.500 0.375
3 Tc 0.000 0.000 0.348
4 Br 0.500 0.500 0.803

---

[3]
This entry pairs a crystal structure of Zn2TcBr8 with its calculated X-ray powder pattern. Radiation: Cu Kα X-rays. Structure: a cell relaxed with GGA-PBE.

Peak list (10 most intense, 10 to 90 degrees two-theta, in order of rising 2θ)
12.62 deg, intensity 1000
18.18 deg, intensity 256
18.69 deg, intensity 229
25.39 deg, intensity 333
27.68 deg, intensity 469
29.17 deg, intensity 760
30.89 deg, intensity 239
38.32 deg, intensity 218
43.25 deg, intensity 390
45.47 deg, intensity 206

Cell and atoms:
a = 8.381 Å, b = 8.381 Å, c = 6.387 Å
α = 91.12°, β = 91.12°, γ = 56.84°
Fractional coordinates of all 11 atoms:
1 Zn 0.162 0.162 0.417
2 Zn 0.838 0.838 0.583
3 Tc 0.000 0.000 0.000
4 Br 0.150 0.150 0.805
5 Br 0.157 0.710 0.758
6 Br 0.290 0.843 0.242
7 Br 0.316 0.316 0.349
8 Br 0.684 0.684 0.651
9 Br 0.710 0.157 0.758
10 Br 0.843 0.290 0.242
11 Br 0.850 0.850 0.195

---

[4]
This entry pairs a crystal structure of TeBr with its calculated X-ray powder pattern. Radiation: Cu Kα X-rays. Structure: a cell relaxed with GGA-PBE.

Peak list (10 most intense, 10 to 90 degrees two-theta, in order of rising 2θ)
14.67 deg, intensity 744
23.29 deg, intensity 1000
32.21 deg, intensity 224
33.17 deg, intensity 182
35.56 deg, intensity 167
37.98 deg, intensity 243
40.13 deg, intensity 469
42.33 deg, intensity 178
50.63 deg, intensity 211
54.17 deg, intensity 171

Cell and atoms:
a = 8.542 Å, b = 8.542 Å, c = 5.558 Å
α = 90.00°, β = 90.00°, γ = 90.00°
Fractional coordinates of all 8 atoms:
1 Te 0.113 0.113 0.000
2 Te 0.387 0.613 0.500
3 Te 0.613 0.387 0.500
4 Te 0.887 0.887 0.000
5 Br 0.145 0.145 0.500
6 Br 0.355 0.645 0.000
7 Br 0.645 0.355 0.000
8 Br 0.855 0.855 0.500

---

[5]
This entry pairs a crystal structure of TeBr5 with its calculated X-ray powder pattern. Radiation: Cu Kα X-rays. Structure: a cell relaxed with GGA-PBE.

Peak list (10 most intense, 10 to 90 degrees two-theta, in order of rising 2θ)
11.54 deg, intensity 552
11.83 deg, intensity 1000
14.99 deg, intensity 623
24.07 deg, intensity 628
28.37 deg, intensity 821
28.59 deg, intensity 584
31.11 deg, intensity 650
34.05 deg, intensity 816
42.31 deg, intensity 460
47.57 deg, intensity 337

Cell and atoms:
a = 15.206 Å, b = 4.274 Å, c = 7.795 Å
α = 90.00°, β = 100.33°, γ = 90.00°
Fractional coordinates of all 12 atoms:
1 Te 0.000 0.000 0.000
2 Te 0.500 0.500 0.000
3 Br 0.054 0.500 0.799
4 Br 0.149 0.000 0.213
5 Br 0.327 0.500 0.768
6 Br 0.370 0.500 0.454
7 Br 0.433 0.000 0.182
8 Br 0.554 0.000 0.799
9 Br 0.649 0.500 0.213
10 Br 0.827 0.000 0.768
11 Br 0.870 0.000 0.454
12 Br 0.933 0.500 0.182

---

[6]
This entry pairs a crystal structure of Te2Br with its calculated X-ray powder pattern. Radiation: Cu Kα X-rays. Structure: a cell relaxed with GGA-PBE.

Peak list (10 most intense, 10 to 90 degrees two-theta, in order of rising 2θ)
13.72 deg, intensity 522
20.34 deg, intensity 287
25.60 deg, intensity 1000
31.36 deg, intensity 556
31.65 deg, intensity 538
38.06 deg, intensity 329
38.51 deg, intensity 319
43.62 deg, intensity 426
44.95 deg, intensity 263
52.60 deg, intensity 250

Cell and atoms:
a = 4.035 Å, b = 4.803 Å, c = 6.775 Å
α = 78.76°, β = 72.98°, γ = 65.82°
Fractional coordinates of all 3 atoms:
1 Te 0.000 0.000 0.000
2 Te 0.260 0.247 0.247
3 Br 0.503 0.488 0.528

---

Copy entry 4 word for word.
This entry pairs a crystal structure of TeBr with its calculated X-ray powder pattern. Radiation: Cu Kα X-rays. Structure: a cell relaxed with GGA-PBE.

Peak list (10 most intense, 10 to 90 degrees two-theta, in order of rising 2θ)
14.67 deg, intensity 744
23.29 deg, intensity 1000
32.21 deg, intensity 224
33.17 deg, intensity 182
35.56 deg, intensity 167
37.98 deg, intensity 243
40.13 deg, intensity 469
42.33 deg, intensity 178
50.63 deg, intensity 211
54.17 deg, intensity 171

Cell and atoms:
a = 8.542 Å, b = 8.542 Å, c = 5.558 Å
α = 90.00°, β = 90.00°, γ = 90.00°
Fractional coordinates of all 8 atoms:
1 Te 0.113 0.113 0.000
2 Te 0.387 0.613 0.500
3 Te 0.613 0.387 0.500
4 Te 0.887 0.887 0.000
5 Br 0.145 0.145 0.500
6 Br 0.355 0.645 0.000
7 Br 0.645 0.355 0.000
8 Br 0.855 0.855 0.500